[1]
For Mg2Zn2Ga, a cell relaxed with PBE gives the simulated PXRD pattern in this record (Cu Kα X-rays).
Peak positions follow from Bragg's law for the DFT cell and can differ from measured ones.

Cell lengths 6.6912, 6.6912, 8.2824 Å; angles 90.00, 90.00, 90.00 degrees
Fractional positions:
Mg 0.1678 0.3324 0.0000
Mg 0.1676 0.3322 0.5000
Mg 0.3324 0.8322 0.0000
Mg 0.3322 0.8324 0.5000
Mg 0.6676 0.1678 0.0000
Mg 0.6678 0.1676 0.5000
Mg 0.8322 0.6676 0.0000
Mg 0.8324 0.6678 0.5000
Zn 0.1329 0.6329 0.2500
Zn 0.1329 0.6329 0.7500
Zn 0.3671 0.1329 0.2500
Zn 0.3671 0.1329 0.7500
Zn 0.6329 0.8671 0.2500
Zn 0.6329 0.8671 0.7500
Zn 0.8671 0.3671 0.2500
Zn 0.8671 0.3671 0.7500
Ga 0.0000 0.0000 0.2494
Ga 0.0000 0.0000 0.7506
Ga 0.5000 0.5000 0.2506
Ga 0.5000 0.5000 0.7494

Most intense lines, 2θ from 10° to 80°, sorted by position:
d = 4.141 Å, 2θ = 21.46°, intensity 661; d = 2.992 Å, 2θ = 29.86°, intensity 193; d = 2.602 Å, 2θ = 34.46°, intensity 216; d = 2.425 Å, 2θ = 37.07°, intensity 1000; d = 2.366 Å, 2θ = 38.04°, intensity 87; d = 2.116 Å, 2θ = 42.73°, intensity 497; d = 2.071 Å, 2θ = 43.72°, intensity 269; d = 1.884 Å, 2θ = 48.30°, intensity 349; d = 1.694 Å, 2θ = 54.16°, intensity 108; d = 1.480 Å, 2θ = 62.79°, intensity 301; d = 1.254 Å, 2θ = 75.90°, intensity 122; d = 1.251 Å, 2θ = 76.09°, intensity 100

***

[2]
For ThSnB, a cell relaxed with PBE gives the simulated PXRD pattern in this record (Cu Kα X-rays).
Peak positions follow from Bragg's law for the DFT cell and can differ from measured ones.

Cell lengths 3.6812, 22.3655, 3.2937 Å; angles 90.00, 90.00, 90.00 degrees
Fractional positions:
Th 0.0000 0.0736 0.2500
Th 0.0000 0.9264 0.7500
Th 0.5000 0.4264 0.7500
Th 0.5000 0.5736 0.2500
Sn 0.0000 0.2930 0.7500
Sn 0.0000 0.7070 0.2500
Sn 0.5000 0.2070 0.2500
Sn 0.5000 0.7930 0.7500
B 0.0000 0.4834 0.2500
B 0.0000 0.5166 0.7500
B 0.5000 0.0166 0.7500
B 0.5000 0.9834 0.2500

Most intense lines, 2θ from 10° to 80°, sorted by position:
d = 3.728 Å, 2θ = 23.87°, intensity 344; d = 3.632 Å, 2θ = 24.51°, intensity 425; d = 3.301 Å, 2θ = 27.01°, intensity 195; d = 3.160 Å, 2θ = 28.25°, intensity 690; d = 2.842 Å, 2θ = 31.48°, intensity 802; d = 2.796 Å, 2θ = 32.01°, intensity 277; d = 2.468 Å, 2θ = 36.40°, intensity 243; d = 2.331 Å, 2θ = 38.62°, intensity 1000; d = 2.131 Å, 2θ = 42.41°, intensity 209; d = 1.590 Å, 2θ = 57.99°, intensity 193; d = 1.566 Å, 2θ = 58.99°, intensity 332; d = 1.425 Å, 2θ = 65.50°, intensity 179

***

[3]
For Ag12Hg2Au, a cell relaxed with PBE gives the simulated PXRD pattern in this record (Cu Kα X-rays).
Peak positions follow from Bragg's law for the DFT cell and can differ from measured ones.

Cell lengths 5.5431, 5.5431, 20.3267 Å; angles 90.00, 90.00, 90.00 degrees
Fractional positions:
Ag 0.0000 0.0000 0.1008
Ag 0.0000 0.0000 0.8992
Ag 0.0000 0.5000 0.1008
Ag 0.0000 0.5000 0.8992
Ag 0.0726 0.5726 0.4374
Ag 0.0726 0.9274 0.5626
Ag 0.2500 0.2500 0.2042
Ag 0.2500 0.2500 0.3387
Ag 0.2500 0.2500 0.6613
Ag 0.2500 0.2500 0.7958
Ag 0.4274 0.5726 0.5626
Ag 0.4274 0.9274 0.4374
Ag 0.5000 0.0000 0.1008
Ag 0.5000 0.0000 0.8992
Ag 0.5000 0.5000 0.1008
Ag 0.5000 0.5000 0.8992
Ag 0.5726 0.0726 0.5626
Ag 0.5726 0.4274 0.4374
Ag 0.7500 0.7500 0.2042
Ag 0.7500 0.7500 0.3387
Ag 0.7500 0.7500 0.6613
Ag 0.7500 0.7500 0.7958
Ag 0.9274 0.0726 0.4374
Ag 0.9274 0.4274 0.5626
Hg 0.2500 0.7500 0.2713
Hg 0.2500 0.7500 0.7287
Hg 0.7500 0.2500 0.2713
Hg 0.7500 0.2500 0.7287
Au 0.2500 0.7500 0.0000
Au 0.7500 0.2500 0.0000

Most intense lines, 2θ from 10° to 80°, sorted by position:
d = 3.390 Å, 2θ = 26.29°, intensity 335; d = 3.104 Å, 2θ = 28.77°, intensity 687; d = 2.674 Å, 2θ = 33.51°, intensity 873; d = 2.565 Å, 2θ = 34.99°, intensity 708; d = 2.433 Å, 2θ = 36.94°, intensity 776; d = 2.332 Å, 2θ = 38.60°, intensity 1000; d = 2.145 Å, 2θ = 42.12°, intensity 369; d = 1.959 Å, 2θ = 46.34°, intensity 843; d = 1.501 Å, 2θ = 61.82°, intensity 226; d = 1.443 Å, 2θ = 64.59°, intensity 246; d = 1.385 Å, 2θ = 67.63°, intensity 319; d = 1.217 Å, 2θ = 78.58°, intensity 316

***

[4]
For Rb2ZrI4Br2, a cell relaxed with PBE gives the simulated PXRD pattern in this record (Cu Kα X-rays).
Peak positions follow from Bragg's law for the DFT cell and can differ from measured ones.

Cell lengths 8.1005, 8.1005, 8.4068 Å; angles 121.19, 121.19, 61.92 degrees
Fractional positions:
Rb 0.2472 0.2472 0.2691
Rb 0.7528 0.7528 0.7309
Zr 0.0000 0.0000 0.5000
I 0.2144 0.7237 0.2281
I 0.2763 0.7856 0.7719
I 0.7237 0.2144 0.2281
I 0.7856 0.2763 0.7719
Br 0.2345 0.2345 0.6803
Br 0.7655 0.7655 0.3197

Most intense lines, 2θ from 10° to 80°, sorted by position:
d = 6.678 Å, 2θ = 13.26°, intensity 319; d = 3.379 Å, 2θ = 26.38°, intensity 241; d = 3.348 Å, 2θ = 26.63°, intensity 770; d = 3.330 Å, 2θ = 26.78°, intensity 866; d = 2.959 Å, 2θ = 30.20°, intensity 1000; d = 2.768 Å, 2θ = 32.34°, intensity 319; d = 2.084 Å, 2θ = 43.43°, intensity 199; d = 2.022 Å, 2θ = 44.83°, intensity 451; d = 1.967 Å, 2θ = 46.16°, intensity 228; d = 1.905 Å, 2θ = 47.74°, intensity 182; d = 1.777 Å, 2θ = 51.41°, intensity 163; d = 1.769 Å, 2θ = 51.67°, intensity 238

***

[5]
For MnH5, a cell relaxed with PBE gives the simulated PXRD pattern in this record (Cu Kα X-rays).
Peak positions follow from Bragg's law for the DFT cell and can differ from measured ones.

Cell lengths 2.6142, 8.9693, 2.6077 Å; angles 90.00, 90.00, 90.00 degrees
Fractional positions:
Mn 0.0000 0.0000 0.0000
Mn 0.5000 0.5000 0.0000
H 0.0000 0.1247 0.5000
H 0.0000 0.3756 0.0000
H 0.0000 0.5000 0.5000
H 0.0000 0.6244 0.0000
H 0.0000 0.8753 0.5000
H 0.5000 0.0000 0.5000
H 0.5000 0.1244 0.0000
H 0.5000 0.3753 0.5000
H 0.5000 0.6247 0.5000
H 0.5000 0.8756 0.0000

Most intense lines, 2θ from 10° to 80°, sorted by position:
d = 4.485 Å, 2θ = 19.80°, intensity 1000; d = 2.608 Å, 2θ = 34.39°, intensity 208; d = 2.510 Å, 2θ = 35.78°, intensity 373; d = 2.254 Å, 2θ = 39.99°, intensity 270; d = 2.242 Å, 2θ = 40.22°, intensity 120; d = 1.968 Å, 2θ = 46.12°, intensity 174; d = 1.808 Å, 2θ = 50.47°, intensity 254; d = 1.700 Å, 2θ = 53.93°, intensity 106; d = 1.571 Å, 2θ = 58.78°, intensity 183; d = 1.479 Å, 2θ = 62.83°, intensity 64; d = 1.297 Å, 2θ = 72.94°, intensity 40; d = 1.287 Å, 2θ = 73.63°, intensity 85

***

[6]
For Sb12Pb17, a cell relaxed with PBE gives the simulated PXRD pattern in this record (Cu Kα X-rays).
Peak positions follow from Bragg's law for the DFT cell and can differ from measured ones.

Cell lengths 10.6408, 10.6408, 10.6408 Å; angles 109.47, 109.47, 109.47 degrees
Fractional positions:
Sb 0.0000 0.2183 0.3926
Sb 0.0000 0.3926 0.2183
Sb 0.1744 0.7817 0.7817
Sb 0.2183 0.0000 0.3926
Sb 0.2183 0.3926 0.0000
Sb 0.3926 0.0000 0.2183
Sb 0.3926 0.2183 0.0000
Sb 0.6074 0.6074 0.8256
Sb 0.6074 0.8256 0.6074
Sb 0.7817 0.1744 0.7817
Sb 0.7817 0.7817 0.1744
Sb 0.8256 0.6074 0.6074
Pb 0.0000 0.0000 0.0000
Pb 0.0000 0.0000 0.7041
Pb 0.0000 0.4210 0.7053
Pb 0.0000 0.7041 0.0000
Pb 0.0000 0.7053 0.4210
Pb 0.2843 0.5790 0.5790
Pb 0.2947 0.2947 0.7157
Pb 0.2947 0.7157 0.2947
Pb 0.2959 0.2959 0.2959
Pb 0.4210 0.0000 0.7053
Pb 0.4210 0.7053 0.0000
Pb 0.5790 0.2843 0.5790
Pb 0.5790 0.5790 0.2843
Pb 0.7041 0.0000 0.0000
Pb 0.7053 0.0000 0.4210
Pb 0.7053 0.4210 0.0000
Pb 0.7157 0.2947 0.2947

Most intense lines, 2θ from 10° to 80°, sorted by position:
d = 3.284 Å, 2θ = 27.16°, intensity 186; d = 3.072 Å, 2θ = 29.07°, intensity 321; d = 2.896 Å, 2θ = 30.88°, intensity 1000; d = 2.620 Å, 2θ = 34.23°, intensity 279; d = 2.508 Å, 2θ = 35.80°, intensity 94; d = 2.410 Å, 2θ = 37.32°, intensity 339; d = 2.172 Å, 2θ = 41.58°, intensity 99; d = 1.738 Å, 2θ = 52.68°, intensity 141; d = 1.672 Å, 2θ = 54.91°, intensity 140; d = 1.642 Å, 2θ = 56.01°, intensity 124; d = 1.613 Å, 2θ = 57.09°, intensity 220; d = 1.428 Å, 2θ = 65.33°, intensity 242

***

Repeat the fourth record exactly.
For Rb2ZrI4Br2, a cell relaxed with PBE gives the simulated PXRD pattern in this record (Cu Kα X-rays).
Peak positions follow from Bragg's law for the DFT cell and can differ from measured ones.

Cell lengths 8.1005, 8.1005, 8.4068 Å; angles 121.19, 121.19, 61.92 degrees
Fractional positions:
Rb 0.2472 0.2472 0.2691
Rb 0.7528 0.7528 0.7309
Zr 0.0000 0.0000 0.5000
I 0.2144 0.7237 0.2281
I 0.2763 0.7856 0.7719
I 0.7237 0.2144 0.2281
I 0.7856 0.2763 0.7719
Br 0.2345 0.2345 0.6803
Br 0.7655 0.7655 0.3197

Most intense lines, 2θ from 10° to 80°, sorted by position:
d = 6.678 Å, 2θ = 13.26°, intensity 319; d = 3.379 Å, 2θ = 26.38°, intensity 241; d = 3.348 Å, 2θ = 26.63°, intensity 770; d = 3.330 Å, 2θ = 26.78°, intensity 866; d = 2.959 Å, 2θ = 30.20°, intensity 1000; d = 2.768 Å, 2θ = 32.34°, intensity 319; d = 2.084 Å, 2θ = 43.43°, intensity 199; d = 2.022 Å, 2θ = 44.83°, intensity 451; d = 1.967 Å, 2θ = 46.16°, intensity 228; d = 1.905 Å, 2θ = 47.74°, intensity 182; d = 1.777 Å, 2θ = 51.41°, intensity 163; d = 1.769 Å, 2θ = 51.67°, intensity 238